Structure and simulated X-ray powder pattern of MgP2AuO (a crystal structure in Alexandria, relaxed with GGA-PBE; Cu Kα (λ = 1.5418 Å)).
Intensities are scaled so that the largest is 100.

The 10 most intense peaks (2θ from 10° to 80°), low angle first:
2θ/deg, intensity
17.79, 97
25.26, 60
30.67, 100
35.68, 99
36.03, 70
40.46, 28
48.02, 60
51.87, 24
63.86, 25
64.55, 34

Cell and atoms:
Cell: 4.985 4.985 3.594 Å, 90.00 90.00 90.00°
Atoms (fractional coordinates):
Mg 0.000 0.000 0.000
P 0.000 0.500 0.000
P 0.500 0.000 0.000
Au 0.500 0.500 0.500
O 0.000 0.000 0.500

Structure and simulated X-ray powder pattern of DySc6Tl3 (a crystal structure in Alexandria, relaxed with GGA-PBE; Cu Kα (λ = 1.5418 Å)).
Intensities are scaled so that the largest is 100.

The 10 most intense peaks (2θ from 10° to 80°), low angle first:
2θ/deg, intensity
18.40, 59
22.09, 53
24.78, 54
25.89, 52
26.16, 77
31.47, 47
34.28, 92
35.96, 100
36.67, 62
49.32, 39

Cell and atoms:
Cell: 8.078 8.078 8.051 Å, 90.00 90.00 96.35°
Atoms (fractional coordinates):
Dy 0.187 0.813 0.500
Dy 0.813 0.187 0.000
Sc 0.079 0.439 0.313
Sc 0.097 0.233 0.667
Sc 0.233 0.097 0.167
Sc 0.271 0.729 0.088
Sc 0.439 0.079 0.813
Sc 0.467 0.533 0.695
Sc 0.533 0.467 0.195
Sc 0.561 0.921 0.313
Sc 0.729 0.271 0.588
Sc 0.767 0.903 0.667
Sc 0.903 0.767 0.167
Sc 0.921 0.561 0.813
Tl 0.082 0.918 0.860
Tl 0.222 0.394 0.965
Tl 0.394 0.222 0.465
Tl 0.606 0.778 0.965
Tl 0.778 0.606 0.465
Tl 0.918 0.082 0.360

Structure and simulated X-ray powder pattern of Pr2Mg3Ga4 (a crystal structure in Alexandria, relaxed with GGA-PBE; Cu Kα (λ = 1.5418 Å)).
Intensities are scaled so that the largest is 100.

The 10 most intense peaks (2θ from 10° to 80°), low angle first:
2θ/deg, intensity
19.01, 27
21.39, 36
31.36, 62
32.63, 100
32.97, 70
35.76, 62
36.26, 31
36.96, 68
47.02, 25
65.44, 26

Cell and atoms:
Cell: 8.864 8.864 7.902 Å, 90.00 90.00 139.25°
Atoms (fractional coordinates):
Pr 0.100 0.900 0.904
Pr 0.400 0.600 0.404
Pr 0.600 0.400 0.596
Pr 0.900 0.100 0.096
Mg 0.000 0.000 0.500
Mg 0.017 0.483 0.750
Mg 0.483 0.017 0.250
Mg 0.500 0.500 0.000
Mg 0.517 0.983 0.750
Mg 0.983 0.517 0.250
Ga 0.168 0.832 0.519
Ga 0.184 0.316 0.750
Ga 0.316 0.184 0.250
Ga 0.332 0.668 0.019
Ga 0.668 0.332 0.981
Ga 0.684 0.816 0.750
Ga 0.816 0.684 0.250
Ga 0.832 0.168 0.481